Diffraction record for NbV3O10. The X-ray diffraction stick pattern is computed, not measured: it uses a structure optimized by DFT (GGA+U) and Cu Kα (λ = 1.5418 Å).

Structural model:
```
NbV3O10
1.0
6.711 0.000 0.000
0.000 6.711 0.000
0.000 0.000 4.541
Nb V O
1 3 10
direct
0.000 0.000 0.000
0.000 0.500 0.136
0.500 0.000 0.864
0.500 0.500 0.000
0.000 0.228 0.238
0.000 0.500 0.779
0.000 0.772 0.238
0.228 0.000 0.762
0.283 0.500 0.213
0.500 0.000 0.221
0.500 0.283 0.787
0.500 0.717 0.787
0.717 0.500 0.213
0.772 0.000 0.762
```

Main lines, sorted by position (2θ = 10–90°):
- 19.5°, d = 4.541 Å, rel. 77, (0 0 1)
- 23.7°, d = 3.761 Å, rel. 37, (1 0 1)
- 26.6°, d = 3.356 Å, rel. 100, (2 0 0)
- 27.2°, d = 3.281 Å, rel. 14, (1 1 1)
- 33.2°, d = 2.699 Å, rel. 64, (2 0 1)
- 43.0°, d = 2.103 Å, rel. 25, (2 2 1)
- 44.2°, d = 2.048 Å, rel. 16, (1 1 2)
- 54.7°, d = 1.678 Å, rel. 21, (4 0 0)
- 58.7°, d = 1.574 Å, rel. 13, (4 0 1)
- 59.6°, d = 1.550 Å, rel. 19, (3 1 2)
- 61.8°, d = 1.501 Å, rel. 14, (4 2 0)
- 65.5°, d = 1.425 Å, rel. 15, (4 2 1)